# 1
Diffraction record for Rb2MgAuBr6. The XRD peak list is calculated, not measured: it uses DFT lattice parameters and positions (PBE) and Cu Kα X-rays.
Neutral-atom scattering factors, no anomalous dispersion.

Crystal structure
```
data_Rb2MgAuBr6
_chemical_formula_sum 'Rb4 Mg2 Au2 Br12'
_cell_length_a 7.352
_cell_length_b 7.352
_cell_length_c 11.868
_cell_angle_alpha 90.00
_cell_angle_beta 90.00
_cell_angle_gamma 90.00
_symmetry_space_group_name_H-M 'I 4/m'
_symmetry_Int_Tables_number 87
_symmetry_space_group_name_Hall '-I 4'
loop_
_atom_site_label
_atom_site_type_symbol
_atom_site_fract_x
_atom_site_fract_y
_atom_site_fract_z
Rb1 Rb 0.000 0.500 0.250
Mg1 Mg 0.000 0.000 0.000
Au1 Au 0.000 0.000 0.500
Br1 Br 0.000 0.000 0.216
Br2 Br 0.180 0.305 0.500
```

Principal peaks in the range 2θ from 10° to 90°, low angle first:
- 2θ = 14.2°, rel. 69.2, hkl 1 0 1
- 2θ = 24.2°, rel. 51.5, hkl 2 0 0
- 2θ = 25.6°, rel. 66.9, hkl 1 0 3
- 2θ = 28.2°, rel. 78.0, hkl 1 2 1
- 2θ = 28.6°, rel. 70.6, hkl 2 0 2
- 2θ = 30.1°, rel. 95.9, hkl 0 0 4
- 2θ = 34.5°, rel. 100.0, hkl 2 2 0
- 2θ = 35.5°, rel. 76.8, hkl 1 2 3
- 2θ = 41.7°, rel. 59.6, hkl 1 3 2
- 2θ = 46.4°, rel. 73.0, hkl 2 2 4

***

# 2
Diffraction record for CdH12C6S2N6. The XRD peak list is calculated, not measured: it uses DFT lattice parameters and positions (PBE) and Cu Kα X-rays.
Neutral-atom scattering factors, no anomalous dispersion.

Crystal structure
```
data_CdH12C6S2N6
_chemical_formula_sum 'Cd4 H48 C24 S8 N24'
_cell_length_a 18.482
_cell_length_b 4.142
_cell_length_c 15.694
_cell_angle_alpha 90.00
_cell_angle_beta 103.99
_cell_angle_gamma 90.00
_symmetry_space_group_name_H-M 'C 1 2/c 1'
_symmetry_Int_Tables_number 15
_symmetry_space_group_name_Hall '-C 2yc'
loop_
_atom_site_label
_atom_site_type_symbol
_atom_site_fract_x
_atom_site_fract_y
_atom_site_fract_z
Cd1 Cd 0.000 0.071 0.250
H1 H 0.058 0.060 0.995
H2 H 0.161 0.269 0.962
H3 H 0.164 0.381 0.722
H4 H 0.207 0.260 0.076
H5 H 0.211 0.082 0.509
H6 H 0.220 0.188 0.661
C1 C 0.104 0.176 0.609
C2 C 0.114 0.250 0.309
C3 C 0.176 0.117 0.021
S1 S 0.018 0.309 0.622
N1 N 0.107 0.003 0.539
N2 N 0.167 0.251 0.668
N3 N 0.176 0.339 0.333
```

Principal peaks in the range 2θ from 10° to 90°, low angle first:
- 2θ = 11.6°, rel. 77.0, hkl 0 0 2
- 2θ = 17.0°, rel. 87.1, hkl 2 0 2
- 2θ = 22.0°, rel. 52.9, hkl 1 1 0
- 2θ = 25.4°, rel. 32.6, hkl 4 0 2
- 2θ = 27.2°, rel. 43.1, hkl 3 1 -2
- 2θ = 27.5°, rel. 100.0, hkl 1 1 -3
- 2θ = 29.9°, rel. 38.9, hkl 6 0 0
- 2θ = 30.2°, rel. 41.3, hkl 3 1 2
- 2θ = 31.4°, rel. 41.1, hkl 1 1 -4
- 2θ = 33.0°, rel. 31.5, hkl 5 1 -2

***

# 3
Diffraction record for DyLuSiGeOs. The XRD peak list is calculated, not measured: it uses DFT lattice parameters and positions (PBE) and Cu Kα X-rays.
Neutral-atom scattering factors, no anomalous dispersion.

Crystal structure
```
data_DyLuSiGeOs
_chemical_formula_sum 'Dy4 Lu4 Si4 Ge4 Os4'
_cell_length_a 10.606
_cell_length_b 4.276
_cell_length_c 9.914
_cell_angle_alpha 90.00
_cell_angle_beta 118.02
_cell_angle_gamma 90.00
_symmetry_space_group_name_H-M 'C 1 2/m 1'
_symmetry_Int_Tables_number 12
_symmetry_space_group_name_Hall '-C 2y'
loop_
_atom_site_label
_atom_site_type_symbol
_atom_site_fract_x
_atom_site_fract_y
_atom_site_fract_z
Dy1 Dy 0.185 0.000 0.109
Lu1 Lu 0.003 0.000 0.678
Si1 Si 0.005 0.500 0.875
Ge1 Ge 0.140 0.500 0.562
Os1 Os 0.227 0.500 0.366
```

Principal peaks in the range 2θ from 10° to 90°, low angle first:
- 2θ = 10.1°, rel. 44.0, hkl 0 0 1
- 2θ = 33.0°, rel. 19.0, hkl 3 1 -1
- 2θ = 33.7°, rel. 100.0, hkl 1 1 2
- 2θ = 33.9°, rel. 20.1, hkl 4 0 -2
- 2θ = 34.7°, rel. 31.2, hkl 4 0 -1
- 2θ = 36.2°, rel. 18.4, hkl 2 0 -4
- 2θ = 37.3°, rel. 39.9, hkl 3 1 -3
- 2θ = 40.8°, rel. 37.7, hkl 3 1 1
- 2θ = 41.2°, rel. 27.9, hkl 0 0 4
- 2θ = 42.3°, rel. 38.0, hkl 0 2 0